No. 1
Diffraction record for Y4In12Pd. The powder diffractogram is simulated, not measured: it uses DFT lattice parameters and positions (PBE) and a wavelength of 1.5418 Å.
Kinematic intensities with the Lorentz-polarization factor, no thermal factor.

Cell and atoms:
```
data_Y4In12Pd
_chemical_formula_sum 'Y8 In24 Pd2'
_cell_length_a 9.4069
_cell_length_b 9.4069
_cell_length_c 9.4069
_cell_angle_alpha 90.00
_cell_angle_beta 90.00
_cell_angle_gamma 90.00
_space_group_name_H-M_alt 'I m -3 m'
_space_group_IT_number 229
_space_group_name_Hall '-I 4 2 3'
loop_
_atom_site_label
_atom_site_type_symbol
_atom_site_fract_x
_atom_site_fract_y
_atom_site_fract_z
Y1 Y 0.2500 0.2500 0.2500
In1 In 0.0000 0.0000 0.2845
In2 In 0.0000 0.2500 0.5000
Pd1 Pd 0.0000 0.0000 0.0000
```

Main lines, in order of falling intensity (10° ≤ 2θ ≤ 80°):
- 33.0 deg, intensity 1000, (2 2 2)
- 38.3 deg, intensity 629, (4 0 0)
- 55.2 deg, intensity 382, (4 4 0)
- 65.9 deg, intensity 314, (6 2 2)
- 69.2 deg, intensity 115, (4 4 4)
- 35.7 deg, intensity 93, (3 2 1)
- 45.2 deg, intensity 82, (3 3 2)
- 74.1 deg, intensity 64, (6 3 3)
- 18.9 deg, intensity 63, (2 0 0)
- 30.0 deg, intensity 60, (3 1 0)
- 40.7 deg, intensity 54, (3 3 0)
- 67.5 deg, intensity 39, (6 3 1)

No. 2
Diffraction record for CeSc3B4O12. The powder diffractogram is simulated, not measured: it uses DFT lattice parameters and positions (PBE) and a wavelength of 1.5418 Å.
Kinematic intensities with the Lorentz-polarization factor, no thermal factor.

Cell and atoms:
```
data_CeSc3B4O12
_chemical_formula_sum 'Ce3 Sc9 B12 O36'
_cell_length_a 9.8884
_cell_length_b 9.8884
_cell_length_c 8.0372
_cell_angle_alpha 90.00
_cell_angle_beta 90.00
_cell_angle_gamma 120.00
_space_group_name_H-M_alt 'R 3 2'
_space_group_IT_number 155
_space_group_name_Hall 'R 3 2"'
loop_
_atom_site_label
_atom_site_type_symbol
_atom_site_fract_x
_atom_site_fract_y
_atom_site_fract_z
Ce1 Ce 0.0000 0.0000 0.0000
Sc1 Sc 0.0000 0.5477 0.0000
B1 B 0.0000 0.0000 0.5000
B2 B 0.0000 0.4508 0.5000
O1 O 0.0000 0.5910 0.5000
O2 O 0.0000 0.8596 0.5000
O3 O 0.0194 0.2111 0.1810
```

Main lines, in order of falling intensity (10° ≤ 2θ ≤ 80°):
- 30.5 deg, intensity 1000, (2 0 2)
- 23.5 deg, intensity 599, (0 2 1)
- 50.2 deg, intensity 491, (0 2 4)
- 15.1 deg, intensity 364, (1 0 1)
- 29.8 deg, intensity 267, (2 1 1)
- 17.9 deg, intensity 239, (1 1 0)
- 36.3 deg, intensity 224, (2 2 0)
- 35.6 deg, intensity 205, (1 2 2)
- 44.3 deg, intensity 189, (3 1 2)
- 43.8 deg, intensity 166, (4 0 1)
- 39.6 deg, intensity 161, (1 3 1)
- 46.5 deg, intensity 137, (3 0 3)